Diffraction record for Fe2CoC. The X-ray powder pattern is theoretical, not measured: it uses a structure optimized by DFT (GGA-PBE) and a wavelength of 1.5418 Å.
No peak broadening, texture or thermal motion is included.

Main lines, by angle (5 to 70 degrees two-theta):
| 2θ/deg | intensity | (hkl) |
| --- | --- | --- |
| 38.09 | 18 | 1 2 1 |
| 38.59 | 17 | 2 1 0 |
| 43.75 | 37 | 2 1 1 |
| 44.38 | 34 | 1 0 2 |
| 45.34 | 100 | 0 3 1 |
| 46.50 | 34 | 1 1 2 |
| 49.07 | 20 | 1 3 1 |
| 49.98 | 27 | 2 2 1 |

Structure:
Cell: 4.977 6.710 4.476 Å, 90.00 90.00 90.00°
Space group Pnma (No. 62)
Asymmetric unit:
Fe 0.180 0.070 0.168 (multiplicity 8)
Co 0.039 0.250 0.659 (multiplicity 4)
C 0.122 0.750 0.948 (multiplicity 4)